Record 1
This entry pairs a crystal structure of Zr6ZnIn5 with its theoretical X-ray diffraction stick pattern. Radiation: Cu Kα (λ = 1.5418 Å). Structure: DFT lattice parameters and positions (GGA-PBE).

Main lines, sorted by position (2θ = 5–70°):
2theta  Rel. int.
20.17  1
23.42  1
35.14  100
40.63  17
40.76  16
41.01  16
58.80  5
59.08  16
59.20  10

Atomic structure:
```
data_Zr6ZnIn5
_chemical_formula_sum 'Zr6 Zn1 In5'
_cell_length_a 4.441
_cell_length_b 8.804
_cell_length_c 6.995
_cell_angle_alpha 90.00
_cell_angle_beta 108.31
_cell_angle_gamma 90.00
_symmetry_space_group_name_H-M 'P 1 2/m 1'
_symmetry_Int_Tables_number 10
loop_
_symmetry_equiv_pos_as_xyz
'x,y,z'
'-x,-y,-z'
'-x,y,-z'
'x,-y,z'
loop_
_atom_site_label
_atom_site_type_symbol
_atom_site_fract_x
_atom_site_fract_y
_atom_site_fract_z
_atom_site_occupancy
Zr1 Zr 0.000 0.242 0.000 1
Zr2 Zr 0.335 0.244 0.670 1
Zn1 Zn 0.500 0.000 0.000 1
In1 In 0.164 0.000 0.327 1
In2 In 0.167 0.500 0.333 1
In3 In 0.500 0.500 0.000 1
```



Record 2
This entry pairs a crystal structure of TcAg2Pb2O6 with its theoretical X-ray diffraction stick pattern. Radiation: Cu Kα (λ = 1.5418 Å). Structure: DFT lattice parameters and positions (GGA-PBE).

Main lines, sorted by position (2θ = 5–70°):
2theta  Rel. int.
13.94  68
19.88  27
28.09  55
29.36  70
31.33  100
34.03  62
36.42  28
45.32  21
49.90  28
51.47  25

Atomic structure:
```
data_TcAg2Pb2O6
_chemical_formula_sum 'Tc2 Ag4 Pb4 O12'
_cell_length_a 6.221
_cell_length_b 10.502
_cell_length_c 6.494
_cell_angle_alpha 90.00
_cell_angle_beta 101.92
_cell_angle_gamma 90.00
_symmetry_space_group_name_H-M 'C 1 2/m 1'
_symmetry_Int_Tables_number 12
loop_
_symmetry_equiv_pos_as_xyz
'x,y,z'
'-x,-y,-z'
'-x,y,-z'
'x,-y,z'
'x+1/2,y+1/2,z'
'-x+1/2,-y+1/2,-z'
'-x+1/2,y+1/2,-z'
'x+1/2,-y+1/2,z'
loop_
_atom_site_label
_atom_site_type_symbol
_atom_site_fract_x
_atom_site_fract_y
_atom_site_fract_z
_atom_site_occupancy
Tc1 Tc 0.000 0.000 0.000 1
Ag1 Ag 0.000 0.142 0.500 1
Pb1 Pb 0.000 0.334 0.000 1
O1 O 0.098 0.143 0.829 1
O2 O 0.217 0.500 0.836 1
```



Record 3
This entry pairs a crystal structure of TiZn4Au with its theoretical X-ray diffraction stick pattern. Radiation: Cu Kα (λ = 1.5418 Å). Structure: DFT lattice parameters and positions (GGA-PBE).

Main lines, sorted by position (2θ = 5–70°):
2theta  Rel. int.
15.42  18
23.78  13
28.47  39
39.54  100
41.82  80
44.82  9
51.36  8
58.91  30
64.90  7
68.31  7

Atomic structure:
```
data_TiZn4Au
_chemical_formula_sum 'Ti1 Zn4 Au1'
_cell_length_a 4.3203
_cell_length_b 4.3203
_cell_length_c 5.7472
_cell_angle_alpha 90.00
_cell_angle_beta 90.00
_cell_angle_gamma 120.00
_symmetry_space_group_name_H-M 'P 6/m m m'
_symmetry_Int_Tables_number 191
_symmetry_space_group_name_Hall '-P 6 2'
loop_
_atom_site_label
_atom_site_type_symbol
_atom_site_fract_x
_atom_site_fract_y
_atom_site_fract_z
_atom_site_occupancy
Ti1 Ti 0.0000 0.0000 0.0000 1
Zn1 Zn 0.3333 0.6667 0.2413 1
Au1 Au 0.0000 0.0000 0.5000 1
```



Record 4
This entry pairs a crystal structure of CsCaAlH6 with its theoretical X-ray diffraction stick pattern. Radiation: Cu Kα (λ = 1.5418 Å). Structure: DFT lattice parameters and positions (GGA-PBE).

Main lines, sorted by position (2θ = 5–70°):
2theta  Rel. int.
18.84  26
23.81  100
29.09  14
32.93  30
34.88  12
41.04  22
44.50  26
48.49  14
53.59  20
59.87  7

Atomic structure:
```
data_CsCaAlH6
_chemical_formula_sum 'Cs1 Ca1 Al1 H6'
_cell_length_a 5.4395
_cell_length_b 5.4395
_cell_length_c 6.1403
_cell_angle_alpha 90.00
_cell_angle_beta 90.00
_cell_angle_gamma 120.00
_symmetry_space_group_name_H-M 'P 3 1 2'
_symmetry_Int_Tables_number 149
loop_
_symmetry_equiv_pos_as_xyz
'x,y,z'
'-y,x-y,z'
'-x+y,-x,z'
'-y,-x,-z'
'-x+y,y,-z'
'x,x-y,-z'
loop_
_atom_site_label
_atom_site_type_symbol
_atom_site_fract_x
_atom_site_fract_y
_atom_site_fract_z
_atom_site_occupancy
Cs1 Cs 0.0000 0.0000 0.0000 1
Ca1 Ca 0.3333 0.6667 0.5000 1
Al1 Al 0.6667 0.3333 0.5000 1
H1 H 0.4172 0.0590 0.6693 1
```



Record 5
This entry pairs a crystal structure of K2PmC2O6 with its theoretical X-ray diffraction stick pattern. Radiation: Cu Kα (λ = 1.5418 Å). Structure: DFT lattice parameters and positions (GGA-PBE).

Main lines, sorted by position (2θ = 5–70°):
2theta  Rel. int.
13.87  51
17.80  24
22.64  100
31.09  48
33.33  65
34.18  17
38.80  32
46.22  25
50.52  31
53.56  19

Atomic structure:
```
data_K2PmC2O6
_chemical_formula_sum 'K2 Pm1 C2 O6'
_cell_length_a 5.7538
_cell_length_b 5.7538
_cell_length_c 6.3850
_cell_angle_alpha 90.00
_cell_angle_beta 90.00
_cell_angle_gamma 120.00
_symmetry_space_group_name_H-M 'P -3 m 1'
_symmetry_Int_Tables_number 164
_symmetry_space_group_name_Hall '-P 3 2"'
loop_
_atom_site_label
_atom_site_type_symbol
_atom_site_fract_x
_atom_site_fract_y
_atom_site_fract_z
_atom_site_occupancy
K1 K 0.3333 0.6667 0.3291 1
Pm1 Pm 0.0000 0.0000 0.0000 1
C1 C 0.3333 0.6667 0.8223 1
O1 O 0.2019 0.4038 0.8091 1
```



Record 6
This entry pairs a crystal structure of Dy2Cd3In3 with its theoretical X-ray diffraction stick pattern. Radiation: Cu Kα (λ = 1.5418 Å). Structure: DFT lattice parameters and positions (GGA-PBE).

Main lines, sorted by position (2θ = 5–70°):
2theta  Rel. int.
33.82  100
38.65  17
39.37  16
39.74  16
56.36  11
56.64  11
57.18  11
66.88  13
67.86  13
68.36  12

Atomic structure:
```
data_Dy2Cd3In3
_chemical_formula_sum 'Dy2 Cd3 In3'
_cell_length_a 4.577
_cell_length_b 4.659
_cell_length_c 9.074
_cell_angle_alpha 90.00
_cell_angle_beta 90.00
_cell_angle_gamma 90.00
_symmetry_space_group_name_H-M 'P m m m'
_symmetry_Int_Tables_number 47
loop_
_symmetry_equiv_pos_as_xyz
'x,y,z'
'-x,-y,-z'
'-x,-y,z'
'x,y,-z'
'x,-y,-z'
'-x,y,z'
'-x,y,-z'
'x,-y,z'
loop_
_atom_site_label
_atom_site_type_symbol
_atom_site_fract_x
_atom_site_fract_y
_atom_site_fract_z
_atom_site_occupancy
Dy1 Dy 0.000 0.000 0.249 1
Cd1 Cd 0.000 0.500 0.500 1
Cd2 Cd 0.500 0.500 0.254 1
In1 In 0.000 0.500 0.000 1
In2 In 0.500 0.000 0.000 1
In3 In 0.500 0.000 0.500 1
```



Record 7
This entry pairs a crystal structure of Sc4BiSbH with its theoretical X-ray diffraction stick pattern. Radiation: Cu Kα (λ = 1.5418 Å). Structure: DFT lattice parameters and positions (GGA-PBE).

Main lines, sorted by position (2θ = 5–70°):
2theta  Rel. int.
21.76  61
22.18  30
26.91  52
29.92  56
31.98  36
33.55  23
37.56  100
42.82  50
45.04  33
63.89  24

Atomic structure:
```
data_Sc4BiSbH
_chemical_formula_sum 'Sc16 Bi4 Sb4 H4'
_cell_length_a 5.972
_cell_length_b 16.029
_cell_length_c 5.974
_cell_angle_alpha 90.00
_cell_angle_beta 90.00
_cell_angle_gamma 90.00
_symmetry_space_group_name_H-M 'C m c m'
_symmetry_Int_Tables_number 63
_symmetry_space_group_name_Hall '-C 2c 2'
loop_
_atom_site_label
_atom_site_type_symbol
_atom_site_fract_x
_atom_site_fract_y
_atom_site_fract_z
_atom_site_occupancy
Sc1 Sc 0.000 0.073 0.250 1
Sc2 Sc 0.000 0.424 0.250 1
Sc3 Sc 0.250 0.250 0.000 1
Bi1 Bi 0.000 0.391 0.750 1
Sb1 Sb 0.000 0.112 0.750 1
H1 H 0.000 0.210 0.250 1
```



Record 8
This entry pairs a crystal structure of BaMgTi4O8 with its theoretical X-ray diffraction stick pattern. Radiation: Cu Kα (λ = 1.5418 Å). Structure: DFT lattice parameters and positions (GGA-PBE).

Main lines, sorted by position (2θ = 5–70°):
2theta  Rel. int.
11.82  21
22.43  29
30.60  100
33.20  82
35.36  39
35.99  12
45.77  35
57.71  33
59.32  27
60.17  38

Atomic structure:
```
data_BaMgTi4O8
_chemical_formula_sum 'Ba1 Mg1 Ti4 O8'
_cell_length_a 5.3965
_cell_length_b 5.3965
_cell_length_c 7.4869
_cell_angle_alpha 90.00
_cell_angle_beta 90.00
_cell_angle_gamma 120.00
_symmetry_space_group_name_H-M 'P -3 1 m'
_symmetry_Int_Tables_number 162
_symmetry_space_group_name_Hall '-P 3 2'
loop_
_atom_site_label
_atom_site_type_symbol
_atom_site_fract_x
_atom_site_fract_y
_atom_site_fract_z
_atom_site_occupancy
Ba1 Ba 0.0000 0.0000 0.0000 1
Mg1 Mg 0.0000 0.0000 0.5000 1
Ti1 Ti 0.3333 0.6667 0.2528 1
O1 O 0.0000 0.3162 0.3272 1
O2 O 0.3333 0.6667 0.0000 1
```